# Mg2Bi
Simulated powder diffraction line list, Cu Kα, 1.54184 Å. Input: a DFT-relaxed cell (GGA-PBE, the Materials Project).

Structure:
```
data_Mg2Bi
_cell_length_a 3.3177
_cell_length_b 16.4903
_cell_length_c 5.7244
_cell_angle_alpha 90.00
_cell_angle_beta 90.00
_cell_angle_gamma 90.00
_space_group_name_H-M_alt 'C m c m'
_space_group_IT_number 63
_space_group_name_Hall '-C 2c 2'
loop_
_atom_site_label
_atom_site_fract_x
_atom_site_fract_y
_atom_site_fract_z
_atom_site_occupancy
Mg1 0.0000 0.0595 0.2500 1
Mg2 0.0000 0.2802 0.7500 1
Bi1 0.0000 0.3893 0.2500 1
```

Peak list (10 most intense, 2θ = 10–80°, low angle first)
2θ = 18.87°, I = 100.0
2θ = 21.56°, I = 35.7
2θ = 27.42°, I = 26.3
2θ = 31.25°, I = 32.8
2θ = 31.64°, I = 25.7
2θ = 35.27°, I = 72.3
2θ = 36.26°, I = 32.5
2θ = 42.05°, I = 17.4
2θ = 50.09°, I = 18.7
2θ = 58.25°, I = 19.8



# MgBi2
Simulated powder diffraction line list, Cu Kα, 1.54184 Å. Input: a DFT-relaxed cell (GGA-PBE, the Materials Project).

Structure:
```
data_MgBi2
_cell_length_a 13.0763
_cell_length_b 3.3904
_cell_length_c 8.3081
_cell_angle_alpha 90.00
_cell_angle_beta 106.10
_cell_angle_gamma 90.00
_space_group_name_H-M_alt 'C 1 2/m 1'
_space_group_IT_number 12
_space_group_name_Hall '-C 2y'
loop_
_atom_site_label
_atom_site_fract_x
_atom_site_fract_y
_atom_site_fract_z
_atom_site_occupancy
Mg1 0.1421 0.0000 0.0184 1
Bi1 0.0274 0.5000 0.2657 1
Bi2 0.2130 0.0000 0.6881 1
```

Peak list (10 most intense, 2θ = 10–80°, low angle first)
2θ = 22.27°, I = 100.0
2θ = 28.42°, I = 35.7
2θ = 28.72°, I = 41.6
2θ = 30.25°, I = 51.1
2θ = 30.97°, I = 72.6
2θ = 33.43°, I = 47.8
2θ = 34.02°, I = 75.6
2θ = 34.15°, I = 74.4
2θ = 43.74°, I = 30.7
2θ = 44.38°, I = 37.3



# MgBi
Simulated powder diffraction line list, Cu Kα, 1.54184 Å. Input: a DFT-relaxed cell (GGA-PBE, the Materials Project).

Structure:
```
data_MgBi
_cell_length_a 5.5388
_cell_length_b 3.5954
_cell_length_c 16.8986
_cell_angle_alpha 90.00
_cell_angle_beta 90.00
_cell_angle_gamma 90.00
_space_group_name_H-M_alt 'A m m 2'
_space_group_IT_number 38
_space_group_name_Hall 'A 2 -2'
loop_
_atom_site_label
_atom_site_fract_x
_atom_site_fract_y
_atom_site_fract_z
_atom_site_occupancy
Mg1 0.0000 0.0000 0.0000 1
Mg2 0.0000 0.0000 0.3358 1
Mg3 0.5000 0.0000 0.7749 1
Bi1 0.0000 0.0000 0.6703 1
Bi2 0.5000 0.0000 0.1242 1
Bi3 0.5000 0.0000 0.4207 1
```

Peak list (10 most intense, 2θ = 10–80°, low angle first)
2θ = 10.47°, I = 34.9
2θ = 19.16°, I = 31.2
2θ = 21.03°, I = 57.8
2θ = 29.47°, I = 36.3
2θ = 30.10°, I = 61.7
2θ = 32.33°, I = 43.1
2θ = 33.71°, I = 100.0
2θ = 35.77°, I = 43.0
2θ = 38.88°, I = 25.2
2θ = 44.31°, I = 24.5



# Mg2Bi
Simulated powder diffraction line list, Cu Kα, 1.54184 Å. Input: a DFT-relaxed cell (GGA-PBE, the Materials Project).

Structure:
```
data_Mg2Bi
_cell_length_a 3.2747
_cell_length_b 16.9777
_cell_length_c 5.6286
_cell_angle_alpha 90.00
_cell_angle_beta 90.00
_cell_angle_gamma 90.00
_space_group_name_H-M_alt 'C m c m'
_space_group_IT_number 63
_space_group_name_Hall '-C 2c 2'
loop_
_atom_site_label
_atom_site_fract_x
_atom_site_fract_y
_atom_site_fract_z
_atom_site_occupancy
Mg1 0.0000 0.1151 0.2500 1
Mg2 0.0000 0.2267 0.7500 1
Bi1 0.0000 0.4367 0.2500 1
```

Peak list (10 most intense, 2θ = 10–80°, low angle first)
2θ = 10.42°, I = 84.1
2θ = 18.92°, I = 52.0
2θ = 26.30°, I = 50.1
2θ = 27.74°, I = 35.6
2θ = 31.60°, I = 23.9
2θ = 31.80°, I = 30.3
2θ = 35.47°, I = 100.0
2θ = 41.54°, I = 22.4
2θ = 42.68°, I = 29.6
2θ = 59.05°, I = 23.3



# MgBi
Simulated powder diffraction line list, Cu Kα, 1.54184 Å. Input: a DFT-relaxed cell (GGA-PBE, the Materials Project).

Structure:
```
data_MgBi
_cell_length_a 3.6950
_cell_length_b 5.9678
_cell_length_c 5.0213
_cell_angle_alpha 90.00
_cell_angle_beta 90.00
_cell_angle_gamma 90.00
_space_group_name_H-M_alt 'P m m n'
_space_group_IT_number 59
loop_
_space_group_symop_operation_xyz
'x,y,z'
'-x,-y,-z'
'-x+1/2,-y+1/2,z'
'x+1/2,y+1/2,-z'
'x+1/2,-y,-z'
'-x+1/2,y,z'
'-x,y+1/2,-z'
'x,-y+1/2,z'
loop_
_atom_site_label
_atom_site_fract_x
_atom_site_fract_y
_atom_site_fract_z
_atom_site_occupancy
Mg1 0.2500 0.2500 0.1441 1
Bi1 0.2500 0.7500 0.3441 1
```

Peak list (10 most intense, 2θ = 10–80°, low angle first)
2θ = 17.66°, I = 26.4
2θ = 23.15°, I = 66.5
2θ = 28.41°, I = 58.2
2θ = 29.99°, I = 100.0
2θ = 33.65°, I = 40.0
2θ = 38.92°, I = 37.0
2θ = 42.92°, I = 44.4
2θ = 49.30°, I = 20.4
2θ = 53.78°, I = 17.8
2θ = 62.92°, I = 20.2



# MgBi
Simulated powder diffraction line list, Cu Kα, 1.54184 Å. Input: a DFT-relaxed cell (GGA-PBE, the Materials Project).

Structure:
```
data_MgBi
_cell_length_a 3.7718
_cell_length_b 3.7718
_cell_length_c 3.7718
_cell_angle_alpha 90.00
_cell_angle_beta 90.00
_cell_angle_gamma 90.00
_space_group_name_H-M_alt 'P m -3 m'
_space_group_IT_number 221
_space_group_name_Hall '-P 4 2 3'
loop_
_atom_site_label
_atom_site_fract_x
_atom_site_fract_y
_atom_site_fract_z
_atom_site_occupancy
Mg1 0.0000 0.0000 0.0000 1
Bi1 0.5000 0.5000 0.5000 1
```

Peak list (8 most intense, 2θ = 10–80°, low angle first)
2θ = 23.59°, I = 72.0
2θ = 33.60°, I = 100.0
2θ = 41.47°, I = 23.1
2θ = 48.26°, I = 18.5
2θ = 54.39°, I = 32.2
2θ = 60.09°, I = 38.7
2θ = 70.63°, I = 12.1
2θ = 75.64°, I = 16.0



# Mg2Bi
Simulated powder diffraction line list, Cu Kα, 1.54184 Å. Input: a DFT-relaxed cell (GGA-PBE, the Materials Project).

Structure:
```
data_Mg2Bi
_cell_length_a 12.0756
_cell_length_b 3.5110
_cell_length_c 7.9961
_cell_angle_alpha 90.00
_cell_angle_beta 112.05
_cell_angle_gamma 90.00
_space_group_name_H-M_alt 'C 1 2/m 1'
_space_group_IT_number 12
_space_group_name_Hall '-C 2y'
loop_
_atom_site_label
_atom_site_fract_x
_atom_site_fract_y
_atom_site_fract_z
_atom_site_occupancy
Mg1 0.0509 0.0000 0.3053 1
Mg2 0.1302 0.5000 0.0277 1
Bi1 0.1770 0.5000 0.6773 1
```

Peak list (10 most intense, 2θ = 10–80°, low angle first)
2θ = 11.94°, I = 35.8
2θ = 15.85°, I = 64.6
2θ = 23.27°, I = 100.0
2θ = 27.97°, I = 67.0
2θ = 29.59°, I = 33.3
2θ = 30.49°, I = 38.6
2θ = 34.01°, I = 33.1
2θ = 35.10°, I = 62.0
2θ = 36.37°, I = 30.5
2θ = 43.92°, I = 28.3



# MgBi
Simulated powder diffraction line list, Cu Kα, 1.54184 Å. Input: a DFT-relaxed cell (GGA-PBE, the Materials Project).

Structure:
```
data_MgBi
_cell_length_a 3.9150
_cell_length_b 3.9150
_cell_length_c 12.7308
_cell_angle_alpha 90.00
_cell_angle_beta 90.00
_cell_angle_gamma 120.00
_space_group_name_H-M_alt 'R -3 m'
_space_group_IT_number 166
_space_group_name_Hall '-R 3 2"'
loop_
_atom_site_label
_atom_site_fract_x
_atom_site_fract_y
_atom_site_fract_z
_atom_site_occupancy
Mg1 0.0000 0.0000 0.0000 1
Bi1 0.0000 0.0000 0.5000 1
```

Peak list (10 most intense, 2θ = 10–80°, low angle first)
2θ = 20.93°, I = 46.7
2θ = 27.22°, I = 75.5
2θ = 29.86°, I = 100.0
2θ = 38.81°, I = 50.2
2θ = 44.50°, I = 21.0
2θ = 46.39°, I = 30.5
2θ = 51.41°, I = 28.0
2θ = 56.15°, I = 17.5
2θ = 64.77°, I = 34.4
2θ = 75.71°, I = 14.9



# Mg2Bi
Simulated powder diffraction line list, Cu Kα, 1.54184 Å. Input: a DFT-relaxed cell (GGA-PBE, the Materials Project).

Structure:
```
data_Mg2Bi
_cell_length_a 9.6138
_cell_length_b 5.8621
_cell_length_c 5.5383
_cell_angle_alpha 90.00
_cell_angle_beta 90.00
_cell_angle_gamma 90.00
_space_group_name_H-M_alt 'C m c m'
_space_group_IT_number 63
_space_group_name_Hall '-C 2c 2'
loop_
_atom_site_label
_atom_site_fract_x
_atom_site_fract_y
_atom_site_fract_z
_atom_site_occupancy
Mg1 0.1662 0.1689 0.2500 1
Bi1 0.0000 0.3205 0.7500 1
```

Peak list (10 most intense, 2θ = 10–80°, low angle first)
2θ = 17.72°, I = 21.2
2θ = 18.46°, I = 55.4
2θ = 23.96°, I = 100.0
2θ = 32.33°, I = 29.9
2θ = 34.62°, I = 31.1
2θ = 35.82°, I = 83.0
2θ = 37.46°, I = 29.9
2θ = 39.52°, I = 20.2
2θ = 52.81°, I = 25.4
2θ = 59.94°, I = 21.3



# MgBi
Simulated powder diffraction line list, Cu Kα, 1.54184 Å. Input: a DFT-relaxed cell (GGA-PBE, the Materials Project).

Structure:
```
data_MgBi
_cell_length_a 9.7384
_cell_length_b 6.2148
_cell_length_c 6.0202
_cell_angle_alpha 90.00
_cell_angle_beta 112.39
_cell_angle_gamma 90.00
_space_group_name_H-M_alt 'C 1 2 1'
_space_group_IT_number 5
_space_group_name_Hall 'C 2y'
loop_
_atom_site_label
_atom_site_fract_x
_atom_site_fract_y
_atom_site_fract_z
_atom_site_occupancy
Mg1 0.0000 0.0000 0.0000 1
Mg2 0.1675 0.3283 0.5032 1
Bi1 0.0000 0.8784 0.5000 1
Bi2 0.1714 0.4769 0.0037 1
```

Peak list (10 most intense, 2θ = 10–80°, low angle first)
2θ = 20.09°, I = 53.1
2θ = 20.89°, I = 83.3
2θ = 26.09°, I = 45.4
2θ = 28.73°, I = 48.6
2θ = 32.16°, I = 59.7
2θ = 33.01°, I = 48.8
2θ = 33.15°, I = 100.0
2θ = 37.60°, I = 70.2
2θ = 41.91°, I = 23.9
2θ = 43.66°, I = 32.0



# MgBi
Simulated powder diffraction line list, Cu Kα, 1.54184 Å. Input: a DFT-relaxed cell (GGA-PBE, the Materials Project).

Structure:
```
data_MgBi
_cell_length_a 12.7008
_cell_length_b 3.4580
_cell_length_c 8.0536
_cell_angle_alpha 90.00
_cell_angle_beta 106.41
_cell_angle_gamma 90.00
_space_group_name_H-M_alt 'C 1 m 1'
_space_group_IT_number 8
_space_group_name_Hall 'C -2y'
loop_
_atom_site_label
_atom_site_fract_x
_atom_site_fract_y
_atom_site_fract_z
_atom_site_occupancy
Mg1 0.0000 0.0000 0.0000 1
Mg2 0.1029 0.5000 0.7109 1
Mg3 0.3260 0.0000 0.6536 1
Bi1 0.1647 0.5000 0.3557 1
Bi2 0.2702 0.0000 0.9849 1
Bi3 0.4314 0.5000 0.4169 1
```

Peak list (10 most intense, 2θ = 10–80°, low angle first)
2θ = 11.45°, I = 60.7
2θ = 20.97°, I = 27.2
2θ = 23.02°, I = 56.6
2θ = 28.35°, I = 100.0
2θ = 30.06°, I = 54.9
2θ = 31.86°, I = 43.6
2θ = 34.05°, I = 70.7
2θ = 34.19°, I = 43.5
2θ = 34.57°, I = 42.5
2θ = 52.96°, I = 33.2



# MgBi
Simulated powder diffraction line list, Cu Kα, 1.54184 Å. Input: a DFT-relaxed cell (GGA-PBE, the Materials Project).

Structure:
```
data_MgBi
_cell_length_a 11.9255
_cell_length_b 3.3775
_cell_length_c 8.7640
_cell_angle_alpha 90.00
_cell_angle_beta 110.89
_cell_angle_gamma 90.00
_space_group_name_H-M_alt 'C 1 m 1'
_space_group_IT_number 8
_space_group_name_Hall 'C -2y'
loop_
_atom_site_label
_atom_site_fract_x
_atom_site_fract_y
_atom_site_fract_z
_atom_site_occupancy
Mg1 0.0000 0.0000 0.0000 1
Mg2 0.0817 0.0000 0.6032 1
Mg3 0.3760 0.0000 0.2728 1
Bi1 0.1451 0.5000 0.3164 1
Bi2 0.2231 0.5000 0.9441 1
Bi3 0.3782 0.0000 0.6745 1
```

Peak list (10 most intense, 2θ = 10–80°, low angle first)
2θ = 15.91°, I = 34.6
2θ = 21.88°, I = 76.0
2θ = 22.27°, I = 81.0
2θ = 27.60°, I = 53.3
2θ = 30.77°, I = 45.4
2θ = 31.76°, I = 56.9
2θ = 32.82°, I = 55.2
2θ = 33.50°, I = 100.0
2θ = 35.94°, I = 73.2
2θ = 45.67°, I = 28.7



# MgBi2
Simulated powder diffraction line list, Cu Kα, 1.54184 Å. Input: a DFT-relaxed cell (GGA-PBE, the Materials Project).

Structure:
```
data_MgBi2
_cell_length_a 13.3214
_cell_length_b 3.5628
_cell_length_c 7.9300
_cell_angle_alpha 90.00
_cell_angle_beta 107.98
_cell_angle_gamma 90.00
_space_group_name_H-M_alt 'C 1 2/m 1'
_space_group_IT_number 12
_space_group_name_Hall '-C 2y'
loop_
_atom_site_label
_atom_site_fract_x
_atom_site_fract_y
_atom_site_fract_z
_atom_site_occupancy
Mg1 0.1995 0.0000 0.1438 1
Bi1 0.0567 0.5000 0.8444 1
Bi2 0.1565 0.0000 0.5337 1
```

Peak list (10 most intense, 2θ = 10–80°, low angle first)
2θ = 20.91°, I = 83.7
2θ = 27.66°, I = 29.9
2θ = 29.50°, I = 57.5
2θ = 30.75°, I = 68.3
2θ = 32.66°, I = 44.9
2θ = 32.89°, I = 68.4
2θ = 33.85°, I = 100.0
2θ = 35.71°, I = 40.5
2θ = 43.87°, I = 28.6
2θ = 44.76°, I = 27.9



# MgBi2
Simulated powder diffraction line list, Cu Kα, 1.54184 Å. Input: a DFT-relaxed cell (GGA-PBE, the Materials Project).

Structure:
```
data_MgBi2
_cell_length_a 3.3870
_cell_length_b 17.8706
_cell_length_c 5.7315
_cell_angle_alpha 90.00
_cell_angle_beta 90.00
_cell_angle_gamma 90.00
_space_group_name_H-M_alt 'C m c m'
_space_group_IT_number 63
_space_group_name_Hall '-C 2c 2'
loop_
_atom_site_label
_atom_site_fract_x
_atom_site_fract_y
_atom_site_fract_z
_atom_site_occupancy
Mg1 0.0000 0.0569 0.2500 1
Bi1 0.0000 0.2897 0.7500 1
Bi2 0.0000 0.4046 0.2500 1
```

Peak list (10 most intense, 2θ = 10–80°, low angle first)
2θ = 25.28°, I = 62.8
2θ = 26.79°, I = 25.6
2θ = 30.36°, I = 19.2
2θ = 31.21°, I = 43.5
2θ = 33.92°, I = 36.8
2θ = 34.24°, I = 100.0
2θ = 41.59°, I = 16.5
2θ = 55.30°, I = 16.0
2θ = 57.50°, I = 23.3
2θ = 63.23°, I = 15.4



# MgBi
Simulated powder diffraction line list, Cu Kα, 1.54184 Å. Input: a DFT-relaxed cell (GGA-PBE, the Materials Project).

Structure:
```
data_MgBi
_cell_length_a 5.3320
_cell_length_b 3.5429
_cell_length_c 17.7386
_cell_angle_alpha 90.00
_cell_angle_beta 90.00
_cell_angle_gamma 90.00
_space_group_name_H-M_alt 'A m m 2'
_space_group_IT_number 38
_space_group_name_Hall 'A 2 -2'
loop_
_atom_site_label
_atom_site_fract_x
_atom_site_fract_y
_atom_site_fract_z
_atom_site_occupancy
Mg1 0.0000 0.0000 0.0000 1
Mg2 0.0000 0.0000 0.3465 1
Mg3 0.5000 0.0000 0.4509 1
Bi1 0.0000 0.0000 0.6909 1
Bi2 0.5000 0.0000 0.0918 1
Bi3 0.5000 0.0000 0.8043 1
```

Peak list (10 most intense, 2θ = 10–80°, low angle first)
2θ = 25.64°, I = 31.0
2θ = 26.14°, I = 100.0
2θ = 29.39°, I = 49.2
2θ = 30.71°, I = 42.1
2θ = 33.62°, I = 45.9
2θ = 33.95°, I = 98.5
2θ = 34.69°, I = 49.0
2θ = 45.25°, I = 31.1
2θ = 51.57°, I = 22.8
2θ = 58.74°, I = 22.6



# MgBi2
Simulated powder diffraction line list, Cu Kα, 1.54184 Å. Input: a DFT-relaxed cell (GGA-PBE, the Materials Project).

Structure:
```
data_MgBi2
_cell_length_a 11.4626
_cell_length_b 3.5073
_cell_length_c 9.6925
_cell_angle_alpha 90.00
_cell_angle_beta 115.37
_cell_angle_gamma 90.00
_space_group_name_H-M_alt 'C 1 2/m 1'
_space_group_IT_number 12
_space_group_name_Hall '-C 2y'
loop_
_atom_site_label
_atom_site_fract_x
_atom_site_fract_y
_atom_site_fract_z
_atom_site_occupancy
Mg1 0.1899 0.0000 0.1264 1
Bi1 0.0291 0.5000 0.8348 1
Bi2 0.1563 0.0000 0.5711 1
```

Peak list (10 most intense, 2θ = 10–80°, low angle first)
2θ = 23.41°, I = 61.8
2θ = 27.37°, I = 51.1
2θ = 27.92°, I = 54.8
2θ = 30.05°, I = 24.7
2θ = 30.63°, I = 28.5
2θ = 31.49°, I = 100.0
2θ = 31.73°, I = 63.9
2θ = 36.52°, I = 78.8
2θ = 44.02°, I = 30.0
2θ = 52.17°, I = 21.1